No. 1
Calculated X-ray powder pattern of KAcSe2O8 for copper Kα, from a structure optimized by DFT (PBE).
Intensities are scaled so that the largest is 100.

Structural model:
a b c (Å): 7.7134 7.7134 6.8100
angles (deg): 90.00 90.00 90.00
Space group I-4m2 (No. 119)
One atom of each set of equivalent atoms:
K1 0.0000 0.0000 0.0000 x2
Ac1 0.0000 0.5000 0.2500 x2
Se1 0.0000 0.0000 0.5000 x2
Se2 0.0000 0.5000 0.7500 x2
O1 0.0000 0.1761 0.3559 x8
O2 0.0000 0.3314 0.9051 x8

Top 8 peaks for 10 to 90 degrees two-theta, sorted by position:
2θ = 16.25°, I = 34.1, (1 1 0); 2θ = 17.37°, I = 33.3, (1 0 1); 2θ = 23.06°, I = 100.0, (2 0 0); 2θ = 29.02°, I = 17.9, (2 1 1); 2θ = 30.96°, I = 74.3, (1 1 2); 2θ = 32.84°, I = 23.4, (2 2 0); 2θ = 45.76°, I = 57.8, (3 1 2); 2θ = 57.46°, I = 16.3, (3 3 2)

***

No. 2
Calculated X-ray powder pattern of K3AcSi2O8 for copper Kα, from a structure optimized by DFT (PBE).
Intensities are scaled so that the largest is 100.

Structural model:
a b c (Å): 6.0391 6.0391 8.1103
angles (deg): 90.00 90.00 120.00
Space group P-3m1 (No. 164)
One atom of each set of equivalent atoms:
K1 0.0000 0.0000 0.0000 x1
K2 0.3333 0.6667 0.7266 x2
Ac1 0.0000 0.0000 0.5000 x1
Si1 0.3333 0.6667 0.2461 x2
O1 0.1842 0.3683 0.3092 x6
O2 0.3333 0.6667 0.0431 x2

Top 8 peaks for 10 to 90 degrees two-theta, sorted by position:
2θ = 10.91°, I = 52.0, (0 0 1); 2θ = 16.95°, I = 49.5, (1 0 0); 2θ = 20.20°, I = 81.4, (1 0 1); 2θ = 27.84°, I = 100.0, (0 1 2); 2θ = 29.58°, I = 72.5, (1 1 0); 2θ = 41.07°, I = 46.4, (2 0 2); 2θ = 51.43°, I = 31.4, (1 2 2); 2θ = 54.51°, I = 24.0, (1 1 4)

***

No. 3
Calculated X-ray powder pattern of K2AcSn2O7 for copper Kα, from a structure optimized by DFT (PBE).
Intensities are scaled so that the largest is 100.

Structural model:
a b c (Å): 4.1330 4.1330 22.3396
angles (deg): 90.00 90.00 90.00
Space group I4/mmm (No. 139)
One atom of each set of equivalent atoms:
K1 0.0000 0.0000 0.1933 x4
Ac1 0.0000 0.0000 0.0000 x2
Sn1 0.0000 0.0000 0.4029 x4
O1 0.0000 0.0000 0.3138 x4
O2 0.0000 0.0000 0.5000 x2
O3 0.0000 0.5000 0.0803 x8

Top 8 peaks for 10 to 90 degrees two-theta, sorted by position:
2θ = 24.64°, I = 31.7, (1 0 3); 2θ = 29.44°, I = 100.0, (1 0 5); 2θ = 30.59°, I = 51.9, (1 1 0); 2θ = 35.54°, I = 18.3, (1 0 7); 2θ = 43.81°, I = 29.8, (2 0 0); 2θ = 51.49°, I = 26.2, (1 1 10); 2θ = 53.66°, I = 39.0, (2 1 5); 2θ = 61.09°, I = 17.7, (2 0 10)